For NdTm2Mg3InGa2, a structure optimized by DFT (GGA-PBE) gives the computed powder X-ray diffraction pattern in this record (Cu Ka).
Lines closer than 0.1° are merged.

Main lines, in order of rising 2θ (10 to 90 degrees two-theta):
- d = 4.565 Å, 2θ 19.44, I 38
- d = 3.202 Å, 2θ 27.86, I 20
- d = 3.166 Å, 2θ 28.19, I 36
- d = 2.867 Å, 2θ 31.20, I 38
- d = 2.847 Å, 2θ 31.42, I 23
- d = 2.622 Å, 2θ 34.20, I 47
- d = 2.602 Å, 2θ 34.47, I 100
- d = 2.283 Å, 2θ 39.48, I 31

Structure:
```
data_NdTm2Mg3InGa2
_chemical_formula_sum 'Nd2 Tm4 Mg6 In2 Ga4'
_cell_length_a 4.5653
_cell_length_b 12.8089
_cell_length_c 7.2844
_cell_angle_alpha 90.00
_cell_angle_beta 90.00
_cell_angle_gamma 90.00
_space_group_name_H-M_alt 'A m m 2'
_space_group_IT_number 38
_space_group_name_Hall 'A 2 -2'
loop_
_atom_site_label
_atom_site_type_symbol
_atom_site_fract_x
_atom_site_fract_y
_atom_site_fract_z
Nd1 Nd 0.0000 0.0000 0.0000
Tm1 Tm 0.0000 0.2192 0.6572
Mg1 Mg 0.5000 0.0000 0.6888
Mg2 Mg 0.5000 0.1247 0.3158
In1 In 0.0000 0.0000 0.4479
Ga1 Ga 0.5000 0.1708 0.9385
```

For Nb2InGaPd2, a structure optimized by DFT (GGA-PBE) gives the computed powder X-ray diffraction pattern in this record (Cu Ka).
Lines closer than 0.1° are merged.

Main lines, in order of rising 2θ (10 to 90 degrees two-theta):
- d = 3.550 Å, 2θ 25.09, I 34
- d = 3.074 Å, 2θ 29.04, I 10
- d = 2.174 Å, 2θ 41.54, I 100
- d = 1.854 Å, 2θ 49.14, I 16
- d = 1.537 Å, 2θ 60.20, I 16
- d = 1.411 Å, 2θ 66.23, I 4
- d = 1.256 Å, 2θ 75.74, I 13
- d = 1.255 Å, 2θ 75.83, I 19

Structure:
```
data_Nb2InGaPd2
_chemical_formula_sum 'Nb8 In4 Ga4 Pd8'
_cell_length_a 10.6488
_cell_length_b 4.3441
_cell_length_c 10.6619
_cell_angle_alpha 90.00
_cell_angle_beta 109.50
_cell_angle_gamma 90.00
_space_group_name_H-M_alt 'P 1 m 1'
_space_group_IT_number 6
_space_group_name_Hall 'P -2y'
loop_
_atom_site_label
_atom_site_type_symbol
_atom_site_fract_x
_atom_site_fract_y
_atom_site_fract_z
Nb1 Nb 0.0000 0.0000 0.0000
Nb2 Nb 0.1212 0.5000 0.3657
Nb3 Nb 0.2511 0.0000 0.7439
Nb4 Nb 0.3722 0.5000 0.1185
Nb5 Nb 0.4942 0.0000 0.4886
Nb6 Nb 0.6267 0.5000 0.8762
Nb7 Nb 0.7518 0.0000 0.2433
Nb8 Nb 0.8767 0.5000 0.6141
In1 In 0.1240 0.5000 0.8703
In2 In 0.3729 0.5000 0.6190
In3 In 0.6246 0.5000 0.3667
In4 In 0.7506 0.0000 0.7462
Ga1 Ga 0.2484 0.0000 0.2427
Ga2 Ga 0.4999 0.0000 0.9942
Ga3 Ga 0.8745 0.5000 0.1188
Ga4 Ga 0.9987 0.0000 0.4918
Pd1 Pd 0.0006 0.0000 0.7370
Pd2 Pd 0.1233 0.5000 0.1241
Pd3 Pd 0.2419 0.0000 0.4866
Pd4 Pd 0.3806 0.5000 0.8752
Pd5 Pd 0.4929 0.0000 0.2366
Pd6 Pd 0.6235 0.5000 0.6180
Pd7 Pd 0.7510 0.0000 0.0016
Pd8 Pd 0.8790 0.5000 0.3667
```

For NbIn2GaS6, a structure optimized by DFT (GGA-PBE) gives the computed powder X-ray diffraction pattern in this record (Cu Ka).
Lines closer than 0.1° are merged.

Main lines, in order of rising 2θ (10 to 90 degrees two-theta):
- d = 5.406 Å, 2θ 16.40, I 86
- d = 4.052 Å, 2θ 21.94, I 70
- d = 3.542 Å, 2θ 25.15, I 99
- d = 3.164 Å, 2θ 28.21, I 95
- d = 3.121 Å, 2θ 28.61, I 73
- d = 3.046 Å, 2θ 29.32, I 78
- d = 2.633 Å, 2θ 34.06, I 100
- d = 2.430 Å, 2θ 36.99, I 86

Structure:
```
data_NbIn2GaS6
_chemical_formula_sum 'Nb2 In4 Ga2 S12'
_cell_length_a 10.8199
_cell_length_b 3.5654
_cell_length_c 12.7236
_cell_angle_alpha 90.00
_cell_angle_beta 112.93
_cell_angle_gamma 90.00
_space_group_name_H-M_alt 'P 1 21/m 1'
_space_group_IT_number 11
_space_group_name_Hall '-P 2yb'
loop_
_atom_site_label
_atom_site_type_symbol
_atom_site_fract_x
_atom_site_fract_y
_atom_site_fract_z
Nb1 Nb 0.1882 0.2500 0.0629
In1 In 0.0469 0.7500 0.2857
In2 In 0.4045 0.7500 0.8484
Ga1 Ga 0.2716 0.2500 0.5932
S1 S 0.0412 0.7500 0.9177
S2 S 0.0794 0.2500 0.4331
S3 S 0.2113 0.2500 0.7533
S4 S 0.2359 0.7500 0.2161
S5 S 0.3511 0.7500 0.0428
S6 S 0.4139 0.7500 0.6281
```

For Nd3InGaNi4, a structure optimized by DFT (GGA-PBE) gives the computed powder X-ray diffraction pattern in this record (Cu Ka).
Lines closer than 0.1° are merged.

Main lines, in order of rising 2θ (10 to 90 degrees two-theta):
- d = 3.463 Å, 2θ 25.73, I 41
- d = 2.938 Å, 2θ 30.43, I 69
- d = 2.622 Å, 2θ 34.20, I 100
- d = 2.613 Å, 2θ 34.32, I 43
- d = 2.502 Å, 2θ 35.89, I 37
- d = 2.341 Å, 2θ 38.45, I 60
- d = 2.227 Å, 2θ 40.52, I 65
- d = 2.107 Å, 2θ 42.93, I 58

Structure:
```
data_Nd3InGaNi4
_chemical_formula_sum 'Nd6 In2 Ga2 Ni8'
_cell_length_a 10.1415
_cell_length_b 4.2131
_cell_length_c 8.5316
_cell_angle_alpha 90.00
_cell_angle_beta 97.76
_cell_angle_gamma 90.00
_space_group_name_H-M_alt 'C 1 m 1'
_space_group_IT_number 8
_space_group_name_Hall 'C -2y'
loop_
_atom_site_label
_atom_site_type_symbol
_atom_site_fract_x
_atom_site_fract_y
_atom_site_fract_z
Nd1 Nd 0.0000 0.0000 0.0000
Nd2 Nd 0.1199 0.5000 0.3721
Nd3 Nd 0.3673 0.0000 0.6094
In1 In 0.1749 0.5000 0.7809
Ga1 Ga 0.3232 0.0000 0.2202
Ni1 Ni 0.0677 0.0000 0.6083
Ni2 Ni 0.2413 0.5000 0.0936
Ni3 Ni 0.2757 0.0000 0.9328
Ni4 Ni 0.4120 0.5000 0.3562
```

For Pr3InGaNi4, a structure optimized by DFT (GGA-PBE) gives the computed powder X-ray diffraction pattern in this record (Cu Ka).
Lines closer than 0.1° are merged.

Main lines, in order of rising 2θ (10 to 90 degrees two-theta):
- d = 3.484 Å, 2θ 25.57, I 41
- d = 2.949 Å, 2θ 30.30, I 71
- d = 2.640 Å, 2θ 33.96, I 100
- d = 2.621 Å, 2θ 34.21, I 42
- d = 2.518 Å, 2θ 35.66, I 37
- d = 2.350 Å, 2θ 38.31, I 77
- d = 2.242 Å, 2θ 40.22, I 65
- d = 2.115 Å, 2θ 42.74, I 59

Structure:
```
data_Pr3InGaNi4
_chemical_formula_sum 'Pr6 In2 Ga2 Ni8'
_cell_length_a 10.2171
_cell_length_b 4.2309
_cell_length_c 8.5764
_cell_angle_alpha 90.00
_cell_angle_beta 97.34
_cell_angle_gamma 90.00
_space_group_name_H-M_alt 'C 1 m 1'
_space_group_IT_number 8
_space_group_name_Hall 'C -2y'
loop_
_atom_site_label
_atom_site_type_symbol
_atom_site_fract_x
_atom_site_fract_y
_atom_site_fract_z
Pr1 Pr 0.0000 0.0000 0.0000
Pr2 Pr 0.1197 0.5000 0.3727
Pr3 Pr 0.2519 0.0000 0.7588
In1 In 0.4466 0.5000 0.5906
Ga1 Ga 0.2976 0.0000 0.1532
Ni1 Ni 0.0514 0.5000 0.7618
Ni2 Ni 0.2083 0.5000 0.0153
Ni3 Ni 0.3451 0.0000 0.4384
Ni4 Ni 0.3777 0.5000 0.2795
```

For Ta2InGaNi2, a structure optimized by DFT (GGA-PBE) gives the computed powder X-ray diffraction pattern in this record (Cu Ka).
Lines closer than 0.1° are merged.

Main lines, in order of rising 2θ (10 to 90 degrees two-theta):
- d = 3.389 Å, 2θ 26.30, I 30
- d = 2.935 Å, 2θ 30.46, I 61
- d = 2.076 Å, 2θ 43.61, I 100
- d = 2.072 Å, 2θ 43.69, I 20
- d = 1.770 Å, 2θ 51.64, I 12
- d = 1.693 Å, 2θ 54.17, I 12
- d = 1.467 Å, 2θ 63.39, I 19
- d = 1.198 Å, 2θ 80.14, I 23

Structure:
```
data_Ta2InGaNi2
_chemical_formula_sum 'Ta8 In4 Ga4 Ni8'
_cell_length_a 10.1648
_cell_length_b 4.1441
_cell_length_c 10.1847
_cell_angle_alpha 90.00
_cell_angle_beta 109.53
_cell_angle_gamma 90.00
_space_group_name_H-M_alt 'P 1 m 1'
_space_group_IT_number 6
_space_group_name_Hall 'P -2y'
loop_
_atom_site_label
_atom_site_type_symbol
_atom_site_fract_x
_atom_site_fract_y
_atom_site_fract_z
Ta1 Ta 0.0000 0.0000 0.0000
Ta2 Ta 0.1208 0.5000 0.3618
Ta3 Ta 0.2503 0.0000 0.7406
Ta4 Ta 0.3727 0.5000 0.1154
Ta5 Ta 0.4936 0.0000 0.4844
Ta6 Ta 0.6260 0.5000 0.8750
Ta7 Ta 0.7535 0.0000 0.2386
Ta8 Ta 0.8783 0.5000 0.6095
In1 In 0.1228 0.5000 0.8672
In2 In 0.3739 0.5000 0.6161
In3 In 0.6251 0.5000 0.3633
In4 In 0.7505 0.0000 0.7421
Ga1 Ga 0.0002 0.0000 0.4883
Ga2 Ga 0.2485 0.0000 0.2400
Ga3 Ga 0.4993 0.0000 0.9920
Ga4 Ga 0.8748 0.5000 0.1163
Ni1 Ni 0.0008 0.0000 0.7333
Ni2 Ni 0.1233 0.5000 0.1211
Ni3 Ni 0.2420 0.0000 0.4833
Ni4 Ni 0.3800 0.5000 0.8722
Ni5 Ni 0.4930 0.0000 0.2332
Ni6 Ni 0.6237 0.5000 0.6143
Ni7 Ni 0.7511 0.0000 0.9983
Ni8 Ni 0.8793 0.5000 0.3627
```